Simulated powder X-ray diffraction pattern
Compound: Li3V3O5F3
Radiation: Cu Kα X-rays
Structure: a cell relaxed with GGA+U

Crystal structure
```
Li3V3O5F3
1.0
5.989 0.000 0.000
-0.191 6.086 0.000
-0.102 -0.165 8.426
Li V O F
6 6 10 6
Cartesian
0.000 0.000 0.000
0.023 2.829 2.210
1.359 5.992 3.233
2.851 2.958 4.213
2.873 5.787 6.425
4.396 2.865 7.445
-0.169 4.424 5.392
-0.032 1.359 5.322
1.272 2.967 7.418
2.966 1.465 1.177
2.918 4.484 1.112
4.416 0.003 3.206
-0.093 4.275 7.322
0.109 1.509 7.310
1.203 2.964 5.391
1.618 2.942 1.011
2.743 4.112 7.542
3.048 1.316 3.108
3.057 4.636 3.095
4.341 0.004 1.178
4.470 5.897 5.227
5.883 1.153 3.333
-0.114 4.497 3.319
1.252 5.946 5.308
1.421 5.970 1.145
2.925 1.371 7.533
4.391 2.984 1.095
4.463 2.843 5.360
```

The 10 most intense peaks (2θ from 10° to 90°), by angle:
d = 4.979 Å, intensity 12.5
d = 4.906 Å, intensity 100.0
d = 4.851 Å, intensity 10.7
d = 4.207 Å, intensity 9.7
d = 3.011 Å, intensity 8.4
d = 2.621 Å, intensity 13.2
d = 2.533 Å, intensity 26.3
d = 2.168 Å, intensity 26.3
d = 2.106 Å, intensity 24.7
d = 2.100 Å, intensity 23.7

=====

Simulated powder X-ray diffraction pattern
Compound: Ba2La2Mg2TiWO12
Radiation: Cu Kα X-rays
Structure: a cell relaxed with GGA+U

Crystal structure
```
Ba2La2Mg2TiWO12
1.0
5.689 0.000 0.000
2.845 4.927 0.000
0.000 0.003 27.862
Ba La Mg Ti W O
6 6 6 3 3 36
Cartesian
2.845 4.927 3.565
5.689 0.002 24.297
2.845 1.645 26.657
2.843 1.645 5.995
5.691 3.284 21.866
5.689 3.285 1.205
2.852 4.917 17.383
2.843 1.644 12.835
2.848 1.638 19.407
5.685 3.292 8.455
5.691 3.286 15.027
5.682 0.012 10.479
2.847 4.926 20.751
2.845 1.642 2.393
2.847 1.641 16.163
5.687 3.289 11.698
5.689 3.288 25.469
5.687 0.004 7.111
0.000 0.001 13.931
2.840 1.651 9.397
5.694 3.278 18.464
0.000 0.000 0.000
2.845 1.644 23.082
5.689 3.286 4.780
1.434 2.464 10.512
1.475 2.436 24.218
1.369 0.791 1.135
2.844 3.346 1.135
1.402 0.812 15.025
1.406 0.821 8.361
2.841 3.302 8.356
2.844 3.311 15.029
1.492 0.861 21.936
2.846 3.205 21.933
4.214 4.139 26.727
4.247 4.119 12.839
4.255 4.110 19.498
4.334 4.069 5.924
2.844 0.064 24.221
4.214 2.436 24.219
2.842 0.029 10.520
4.248 2.463 10.515
4.286 2.467 17.347
5.691 4.901 17.341
4.320 2.493 3.643
5.690 4.866 3.641
4.200 0.860 21.937
4.279 0.820 8.364
4.287 0.811 15.023
4.320 0.790 1.134
5.688 1.725 5.929
7.042 4.069 5.926
5.690 1.619 12.832
5.693 1.628 19.506
7.128 4.109 19.500
7.132 4.118 12.836
5.689 1.584 26.727
7.165 4.139 26.727
7.059 2.493 3.644
7.100 2.466 17.349
```

The 10 most intense peaks (2θ from 10° to 90°), by angle:
d = 4.645 Å, intensity 14.5
d = 4.022 Å, intensity 7.1
d = 2.844 Å, intensity 100.0
d = 2.426 Å, intensity 7.2
d = 2.322 Å, intensity 13.1
d = 2.011 Å, intensity 31.7
d = 1.642 Å, intensity 37.2
d = 1.422 Å, intensity 18.1
d = 1.272 Å, intensity 15.1
d = 1.161 Å, intensity 5.7